1.
# LiCoPO4
Simulated powder diffractogram, Cu Kα (weighted mean of Kα1 and Kα2). Input: a crystal structure in the Materials Project, relaxed with GGA+U.

Structure:
Cell: 10.955 6.288 5.099 Å, 90.00 90.00 90.00°
Element x y z (fractional)
Li1 0.168 0.034 0.000
Li2 0.332 0.534 0.500
Li3 0.668 0.466 0.000
Li4 0.832 0.966 0.500
Co1 0.085 0.297 0.501
Co2 0.415 0.797 0.001
Co3 0.585 0.203 0.501
Co4 0.915 0.703 0.001
P1 0.172 0.537 0.997
P2 0.328 0.037 0.497
P3 0.672 0.963 0.997
P4 0.828 0.463 0.497
O1 0.091 0.736 0.064
O2 0.112 0.332 0.114
O3 0.179 0.514 0.695
O4 0.198 0.064 0.613
O5 0.302 0.564 0.113
O6 0.321 0.014 0.195
O7 0.388 0.832 0.614
O8 0.409 0.236 0.564
O9 0.591 0.764 0.064
O10 0.612 0.168 0.114
O11 0.679 0.986 0.695
O12 0.698 0.436 0.613
O13 0.802 0.936 0.113
O14 0.821 0.486 0.195
O15 0.888 0.668 0.614
O16 0.909 0.264 0.564

Largest 10 diffraction maxima, by angle, 10 to 80 degrees two-theta:
d = 5.454 Å, I 58; d = 4.130 Å, I 48; d = 3.960 Å, I 100; d = 3.725 Å, I 20; d = 2.739 Å, I 18; d = 2.727 Å, I 33; d = 2.549 Å, I 36; d = 2.413 Å, I 18; d = 2.404 Å, I 24; d = 1.579 Å, I 15

---

2.
# Li9Mn2Co5O16
Simulated powder diffractogram, Cu Kα (weighted mean of Kα1 and Kα2). Input: a crystal structure in the Materials Project, relaxed with GGA+U.

Structure:
Cell: 5.150 2.875 19.609 Å, 90.00 95.13 90.00°
Element x y z (fractional)
Li1 0.000 0.000 0.000
Li2 0.006 0.500 0.492
Li3 0.241 0.500 0.251
Li4 0.249 0.000 0.753
Li5 0.499 0.500 0.000
Li6 0.526 0.000 0.482
Li7 0.628 0.500 0.372
Li8 0.728 0.000 0.254
Li9 0.751 0.500 0.752
Mn1 0.127 0.000 0.374
Mn2 0.877 0.000 0.623
Co1 0.124 0.500 0.874
Co2 0.373 0.000 0.125
Co3 0.378 0.500 0.622
Co4 0.624 0.000 0.873
Co5 0.872 0.500 0.124
O1 0.035 0.500 0.680
O2 0.054 0.000 0.181
O3 0.183 0.000 0.571
O4 0.189 0.500 0.066
O5 0.301 0.500 0.430
O6 0.308 0.000 0.930
O7 0.407 0.000 0.316
O8 0.440 0.500 0.813
O9 0.557 0.500 0.182
O10 0.572 0.000 0.676
O11 0.687 0.000 0.066
O12 0.721 0.500 0.567
O13 0.807 0.500 0.930
O14 0.844 0.000 0.432
O15 0.941 0.000 0.814
O16 0.957 0.500 0.320

Largest 10 diffraction maxima, by angle, 10 to 80 degrees two-theta:
d = 4.883 Å, I 100; d = 2.537 Å, I 14; d = 2.474 Å, I 26; d = 2.108 Å, I 28; d = 2.070 Å, I 54; d = 1.907 Å, I 9; d = 1.607 Å, I 9; d = 1.480 Å, I 15; d = 1.474 Å, I 15; d = 1.411 Å, I 10

---

3.
# Li9Mn2Co5O16
Simulated powder diffractogram, Cu Kα (weighted mean of Kα1 and Kα2). Input: a crystal structure in the Materials Project, relaxed with GGA+U.

Structure:
Cell: 5.116 7.723 7.735 Å, 82.86 83.48 71.55°
Element x y z (fractional)
Li1 0.000 0.000 0.000
Li2 0.487 0.569 0.311
Li3 0.489 0.696 0.939
Li4 0.492 0.820 0.553
Li5 0.499 0.056 0.816
Li6 0.501 0.944 0.184
Li7 0.508 0.180 0.447
Li8 0.511 0.304 0.061
Li9 0.513 0.431 0.689
Mn1 0.013 0.368 0.876
Mn2 0.987 0.632 0.124
Co1 0.000 0.500 0.500
Co2 0.002 0.759 0.753
Co3 0.005 0.123 0.629
Co4 0.995 0.877 0.371
Co5 0.998 0.241 0.247
O1 0.204 0.423 0.281
O2 0.214 0.776 0.161
O3 0.215 0.657 0.524
O4 0.222 0.534 0.918
O5 0.233 0.039 0.408
O6 0.236 0.175 0.025
O7 0.237 0.896 0.771
O8 0.245 0.280 0.673
O9 0.755 0.720 0.327
O10 0.763 0.104 0.229
O11 0.764 0.825 0.975
O12 0.767 0.961 0.592
O13 0.778 0.466 0.082
O14 0.785 0.343 0.476
O15 0.786 0.224 0.839
O16 0.796 0.577 0.719

Largest 10 diffraction maxima, by angle, 10 to 80 degrees two-theta:
d = 4.838 Å, I 100; d = 2.524 Å, I 14; d = 2.481 Å, I 26; d = 2.104 Å, I 28; d = 2.066 Å, I 27; d = 2.061 Å, I 27; d = 1.906 Å, I 9; d = 1.480 Å, I 7; d = 1.475 Å, I 7; d = 1.469 Å, I 22

---

4.
# Sr7CaMn2Fe6O24
Simulated powder diffractogram, Cu Kα (weighted mean of Kα1 and Kα2). Input: a crystal structure in the Materials Project, relaxed with GGA+U.

Structure:
Cell: 7.780 7.823 7.823 Å, 90.01 90.00 90.00°
Element x y z (fractional)
Sr1 0.000 0.000 0.000
Sr2 0.000 0.000 0.499
Sr3 0.000 0.499 0.000
Sr4 0.000 0.499 0.499
Sr5 0.500 0.000 0.000
Sr6 0.500 0.000 0.499
Sr7 0.500 0.499 0.000
Ca1 0.500 0.499 0.499
Mn1 0.251 0.250 0.250
Mn2 0.749 0.250 0.250
Fe1 0.251 0.250 0.749
Fe2 0.251 0.749 0.250
Fe3 0.251 0.749 0.749
Fe4 0.749 0.250 0.749
Fe5 0.749 0.749 0.250
Fe6 0.749 0.749 0.749
O1 0.000 0.250 0.250
O2 0.000 0.250 0.749
O3 0.000 0.749 0.250
O4 0.000 0.749 0.749
O5 0.250 0.004 0.250
O6 0.250 0.250 0.004
O7 0.250 0.749 0.998
O8 0.250 0.998 0.749
O9 0.253 0.252 0.495
O10 0.253 0.495 0.252
O11 0.253 0.500 0.747
O12 0.253 0.747 0.500
O13 0.500 0.252 0.252
O14 0.500 0.252 0.747
O15 0.500 0.747 0.252
O16 0.500 0.747 0.747
O17 0.747 0.252 0.495
O18 0.747 0.495 0.252
O19 0.747 0.500 0.747
O20 0.747 0.747 0.500
O21 0.750 0.004 0.250
O22 0.750 0.250 0.004
O23 0.750 0.749 0.998
O24 0.750 0.998 0.749

Largest 10 diffraction maxima, by angle, 10 to 80 degrees two-theta:
d = 2.761 Å, I 100; d = 2.254 Å, I 13; d = 1.956 Å, I 27; d = 1.945 Å, I 13; d = 1.595 Å, I 25; d = 1.591 Å, I 12; d = 1.383 Å, I 8; d = 1.379 Å, I 15; d = 1.237 Å, I 11; d = 1.231 Å, I 5

---

5.
# Li5Fe8B8O24
Simulated powder diffractogram, Cu Kα (weighted mean of Kα1 and Kα2). Input: a crystal structure in the Materials Project, relaxed with GGA+U.

Structure:
Cell: 5.218 9.091 10.247 Å, 88.94 89.65 89.91°
Element x y z (fractional)
Li1 0.000 0.000 0.000
Li2 0.015 0.990 0.511
Li3 0.333 0.348 0.259
Li4 0.361 0.342 0.757
Li5 0.824 0.841 0.244
Fe1 0.001 0.653 0.469
Fe2 0.340 0.013 0.225
Fe3 0.348 0.681 0.718
Fe4 0.507 0.178 0.479
Fe5 0.510 0.824 0.971
Fe6 0.822 0.509 0.219
Fe7 0.855 0.162 0.725
Fe8 0.998 0.340 0.974
B1 0.004 0.331 0.465
B2 0.018 0.672 0.968
B3 0.336 0.672 0.226
B4 0.345 0.004 0.718
B5 0.496 0.164 0.968
B6 0.500 0.838 0.470
B7 0.838 0.172 0.212
B8 0.844 0.502 0.721
O1 0.079 0.682 0.273
O2 0.085 0.995 0.706
O3 0.260 0.668 0.908
O4 0.261 0.334 0.446
O5 0.351 0.289 0.948
O6 0.352 0.721 0.519
O7 0.374 0.967 0.436
O8 0.382 0.034 0.008
O9 0.450 0.539 0.219
O10 0.462 0.800 0.188
O11 0.471 0.138 0.694
O12 0.485 0.877 0.750
O13 0.583 0.515 0.724
O14 0.585 0.185 0.251
O15 0.763 0.823 0.453
O16 0.764 0.169 0.946
O17 0.865 0.459 0.433
O18 0.881 0.204 0.511
O19 0.892 0.802 0.988
O20 0.914 0.540 0.014
O21 0.956 0.036 0.208
O22 0.971 0.378 0.772
O23 0.977 0.299 0.174
O24 0.998 0.613 0.665

Largest 10 diffraction maxima, by angle, 10 to 80 degrees two-theta:
d = 4.527 Å, I 100; d = 4.133 Å, I 89; d = 4.119 Å, I 42; d = 3.431 Å, I 32; d = 3.417 Å, I 30; d = 3.369 Å, I 42; d = 2.620 Å, I 62; d = 2.609 Å, I 32; d = 2.561 Å, I 97; d = 2.208 Å, I 27

---

6.
# Li3Mn2O5
Simulated powder diffractogram, Cu Kα (weighted mean of Kα1 and Kα2). Input: a crystal structure in the Materials Project, relaxed with GGA+U.

Structure:
Cell: 2.966 5.091 12.171 Å, 96.09 93.99 91.20°
Element x y z (fractional)
Li1 0.000 0.000 0.000
Li2 0.085 0.706 0.192
Li3 0.298 0.108 0.599
Li4 0.500 0.500 0.000
Li5 0.702 0.892 0.401
Li6 0.915 0.294 0.808
Mn1 0.184 0.403 0.398
Mn2 0.420 0.809 0.808
Mn3 0.580 0.191 0.192
Mn4 0.816 0.597 0.602
O1 0.060 0.331 0.112
O2 0.109 0.080 0.290
O3 0.219 0.737 0.500
O4 0.402 0.472 0.700
O5 0.447 0.128 0.891
O6 0.553 0.872 0.109
O7 0.598 0.528 0.300
O8 0.781 0.263 0.500
O9 0.891 0.920 0.710
O10 0.940 0.669 0.888

Largest 10 diffraction maxima, by angle, 10 to 80 degrees two-theta:
d = 6.035 Å, I 10; d = 4.857 Å, I 100; d = 2.583 Å, I 15; d = 2.477 Å, I 11; d = 2.470 Å, I 11; d = 2.167 Å, I 34; d = 2.055 Å, I 29; d = 2.045 Å, I 28; d = 1.502 Å, I 8; d = 1.484 Å, I 8